Record 1
BaLa4Sn4: theoretical PXRD pattern (Cu Kα X-rays), based on a cell relaxed with PBE.
Peak positions follow from Bragg's law for the DFT cell and can differ from measured ones.

Most intense lines, 10 to 90 degrees two-theta, sorted by position:
- (1 1 0), d 7.548, 11.72 deg, intensity 43
- (1 3 0), d 3.376, 26.40 deg, intensity 100
- (1 0 2), d 3.094, 28.86 deg, intensity 68
- (3 1 1), d 2.992, 29.86 deg, intensity 19
- (2 3 1), d 2.692, 33.28 deg, intensity 42
- (3 3 0), d 2.516, 35.68 deg, intensity 20
- (4 1 1), d 2.404, 37.42 deg, intensity 30
- (3 0 2), d 2.392, 37.60 deg, intensity 76
- (1 4 2), d 2.021, 44.85 deg, intensity 22
- (4 3 2), d 1.781, 51.30 deg, intensity 27

Atomic structure:
a = 10.675 Å, b = 10.675 Å, c = 6.465 Å
α = 90.00°, β = 90.00°, γ = 90.00°
Space group P4_2/n (No. 86, origin choice 2)
Unique sites:
Ba 0.250 0.250 0.250 x2
La 0.115 0.633 0.139 x8
Sn 0.062 0.582 0.653 x8

Record 2
BaSr2LaTl4: theoretical PXRD pattern (Cu Kα X-rays), based on a cell relaxed with PBE.
Peak positions follow from Bragg's law for the DFT cell and can differ from measured ones.

Most intense lines, 10 to 90 degrees two-theta, sorted by position:
- (1 0 4), d 4.120, 21.57 deg, intensity 9
- (1 1 0), d 2.913, 30.69 deg, intensity 100
- (2 0 8), d 2.060, 43.95 deg, intensity 18
- (2 1 4), d 1.843, 49.47 deg, intensity 4
- (3 0 0), d 1.682, 54.56 deg, intensity 39
- (2 2 0), d 1.457, 63.91 deg, intensity 12
- (3 1 8), d 1.303, 72.56 deg, intensity 16
- (0 4 8), d 1.189, 80.84 deg, intensity 3
- (1 3 16), d 1.102, 88.82 deg, intensity 9
- (4 1 0), d 1.101, 88.92 deg, intensity 11

Atomic structure:
a = 5.8237 Å, b = 5.8237 Å, c = 28.5764 Å
α = 90.00°, β = 90.00°, γ = 120.00°
Space group R-3m (No. 166, hexagonal axes)
Unique sites:
Ba 0.0000 0.0000 0.0000 x3
Sr 0.0000 0.0000 0.2504 x6
La 0.0000 0.0000 0.5000 x3
Tl 0.0000 0.0000 0.1276 x6
Tl 0.0000 0.0000 0.3810 x6

Record 3
BaLa3Tc: theoretical PXRD pattern (Cu Kα X-rays), based on a cell relaxed with PBE.
Peak positions follow from Bragg's law for the DFT cell and can differ from measured ones.

Most intense lines, 10 to 90 degrees two-theta, sorted by position:
- (1 1 0), d 7.394, 11.97 deg, intensity 18
- (0 2 1), d 3.339, 26.70 deg, intensity 70
- (4 0 1), d 3.312, 26.92 deg, intensity 74
- (4 2 0), d 2.912, 30.70 deg, intensity 100
- (0 0 2), d 2.819, 31.74 deg, intensity 48
- (0 4 0), d 2.072, 43.69 deg, intensity 19
- (4 2 2), d 2.025, 44.74 deg, intensity 69
- (4 4 1), d 1.757, 52.06 deg, intensity 23
- (8 2 1), d 1.745, 52.44 deg, intensity 26
- (0 4 2), d 1.669, 55.00 deg, intensity 18

Atomic structure:
a = 16.372 Å, b = 8.287 Å, c = 5.638 Å
α = 90.00°, β = 90.01°, γ = 90.00°
Space group Cm (No. 8)
Unique sites:
Ba 0.000 0.000 0.000 x2
Ba 0.243 0.500 0.000 x2
La 0.122 0.250 0.492 x4
La 0.248 0.000 0.994 x2
La 0.372 0.227 0.493 x4
La 0.496 0.000 0.994 x2
Tc 0.016 0.500 0.467 x2
Tc 0.228 0.000 0.467 x2

Record 4
Ba4LaTe5: theoretical PXRD pattern (Cu Kα X-rays), based on a cell relaxed with PBE.
Peak positions follow from Bragg's law for the DFT cell and can differ from measured ones.

Most intense lines, 10 to 90 degrees two-theta, sorted by position:
- (1 0 10), d 3.471, 25.66 deg, intensity 100
- (0 1 20), d 2.466, 36.43 deg, intensity 37
- (1 1 0), d 2.443, 36.79 deg, intensity 40
- (0 2 10), d 1.998, 45.39 deg, intensity 21
- (2 0 20), d 1.736, 52.74 deg, intensity 13
- (1 1 30), d 1.558, 59.30 deg, intensity 15
- (2 1 10), d 1.547, 59.79 deg, intensity 19
- (1 2 20), d 1.415, 66.03 deg, intensity 13
- (3 0 0), d 1.411, 66.25 deg, intensity 7
- (1 3 10), d 1.152, 83.98 deg, intensity 7

Atomic structure:
a = 4.8866 Å, b = 4.8866 Å, c = 60.6943 Å
α = 90.00°, β = 90.00°, γ = 120.00°
Space group R-3m (No. 166, hexagonal axes)
Unique sites:
Ba 0.0000 0.0000 0.1028 x6
Ba 0.0000 0.0000 0.2989 x6
La 0.0000 0.0000 0.5000 x3
Te 0.0000 0.0000 0.0000 x3
Te 0.0000 0.0000 0.1955 x6
Te 0.0000 0.0000 0.4023 x6

Record 5
Ba3La4Te8: theoretical PXRD pattern (Cu Kα X-rays), based on a cell relaxed with PBE.
Peak positions follow from Bragg's law for the DFT cell and can differ from measured ones.

Most intense lines, 10 to 90 degrees two-theta, sorted by position:
- (0 4 0), d 3.368, 26.47 deg, intensity 100
- (4 0 -2), d 3.354, 26.58 deg, intensity 50
- (4 0 0), d 2.404, 37.40 deg, intensity 19
- (0 4 2), d 2.381, 37.78 deg, intensity 38
- (4 4 -2), d 2.375, 37.88 deg, intensity 38
- (4 0 -4), d 2.352, 38.27 deg, intensity 19
- (4 4 0), d 1.956, 46.42 deg, intensity 21
- (4 4 -4), d 1.928, 47.15 deg, intensity 21
- (0 8 2), d 1.506, 61.58 deg, intensity 18
- (4 8 -2), d 1.504, 61.69 deg, intensity 9

Atomic structure:
a = 13.418 Å, b = 13.457 Å, c = 9.407 Å
α = 90.00°, β = 134.21°, γ = 90.00°
Space group C2/m (No. 12)
Unique sites:
Ba 0.000 0.000 0.000 x2
Ba 0.250 0.250 0.000 x4
La 0.000 0.500 0.000 x2
La 0.000 0.500 0.500 x2
La 0.250 0.250 0.500 x4
Te 0.000 0.257 0.000 x4
Te 0.000 0.257 0.500 x4
Te 0.230 0.500 0.980 x4
Te 0.239 0.500 0.485 x4

Record 6
BaLa5Tl6: theoretical PXRD pattern (Cu Kα X-rays), based on a cell relaxed with PBE.
Peak positions follow from Bragg's law for the DFT cell and can differ from measured ones.

Most intense lines, 10 to 90 degrees two-theta, sorted by position:
- (0 0 3), d 2.866, 31.21 deg, intensity 51
- (1 2 1), d 2.845, 31.44 deg, intensity 100
- (2 0 2), d 2.026, 44.72 deg, intensity 19
- (0 4 0), d 1.998, 45.40 deg, intensity 9
- (1 2 -5), d 1.652, 55.62 deg, intensity 10
- (3 2 0), d 1.650, 55.71 deg, intensity 29
- (0 4 3), d 1.639, 56.12 deg, intensity 19
- (2 4 2), d 1.423, 65.63 deg, intensity 12
- (2 0 5), d 1.281, 73.99 deg, intensity 8
- (1 6 1), d 1.265, 75.08 deg, intensity 8

Atomic structure:
a = 5.726 Å, b = 7.991 Å, c = 9.074 Å
α = 90.00°, β = 108.48°, γ = 90.00°
Space group P2/m (No. 10)
Unique sites:
Ba 0.000 0.000 0.000 x1
La 0.000 0.500 0.000 x1
La 0.343 0.000 0.668 x2
La 0.346 0.500 0.672 x2
Tl 0.159 0.256 0.343 x4
Tl 0.500 0.263 0.000 x2

Record 7
BaLa5Tl3: theoretical PXRD pattern (Cu Kα X-rays), based on a cell relaxed with PBE.
Peak positions follow from Bragg's law for the DFT cell and can differ from measured ones.

Most intense lines, 10 to 90 degrees two-theta, sorted by position:
- (1 1 2), d 2.926, 30.55 deg, intensity 89
- (3 0 0), d 2.856, 31.32 deg, intensity 100
- (3 0 2), d 2.244, 40.18 deg, intensity 19
- (2 2 2), d 2.044, 44.32 deg, intensity 32
- (4 1 2), d 1.662, 55.27 deg, intensity 33
- (3 3 0), d 1.649, 55.76 deg, intensity 20
- (3 0 4), d 1.532, 60.44 deg, intensity 31
- (6 0 0), d 1.428, 65.36 deg, intensity 12
- (5 2 2), d 1.283, 73.85 deg, intensity 14
- (3 3 4), d 1.220, 78.35 deg, intensity 15

Atomic structure:
a = 9.8921 Å, b = 9.8921 Å, c = 7.2598 Å
α = 90.00°, β = 90.00°, γ = 120.00°
Space group P6_3/mcm (No. 193)
Unique sites:
Ba 0.0000 0.0000 0.0000 x2
La 0.0000 0.3398 0.2500 x6
La 0.3333 0.6667 0.0000 x4
Tl 0.0000 0.3337 0.7500 x6